# 1
Diffraction record for SrPrZrMnO6. The X-ray powder pattern is calculated, not measured: it uses a structure optimized by DFT (PBE+U) and λ = 1.5418 Å (Cu Kα).

Structure:
```
SrPrZrMnO6
1.0
0.000 4.064 4.064
4.064 0.000 4.064
4.064 4.064 0.000
Sr Pr Zr Mn O
1 1 1 1 6
Direct
0.000 0.000 0.000
0.500 0.500 0.500
0.250 0.250 0.250
0.750 0.750 0.750
0.505 0.505 0.995
0.505 0.995 0.505
0.505 0.995 0.995
0.995 0.505 0.505
0.995 0.505 0.995
0.995 0.995 0.505
```

Most intense lines, 2θ = 10–80°, by angle:
2θ/deg  I_rel
18.91  8
31.13  100
36.67  5
38.37  10
44.60  34
55.38  39
64.90  20
73.73  17

# 2
Diffraction record for Ca2CoCN2O2. The X-ray powder pattern is calculated, not measured: it uses a structure optimized by DFT (PBE+U) and λ = 1.5418 Å (Cu Kα).

Structure:
```
Ca2CoCN2O2
1.0
3.657 0.000 0.000
0.000 3.657 0.000
0.000 0.000 8.043
Ca Co C N O
2 1 1 2 2
Direct
0.000 0.000 0.206
0.000 0.000 0.794
0.500 0.500 0.000
0.500 0.500 0.500
0.500 0.500 0.345
0.500 0.500 0.655
0.000 0.500 0.000
0.500 0.000 0.000
```

Most intense lines, 2θ = 10–80°, by angle:
2θ/deg  I_rel
11.00  100
33.11  61
34.69  33
41.78  33
49.87  21
51.23  8
61.17  18
67.03  14

# 3
Diffraction record for Ba2MgFeMoO6. The X-ray powder pattern is calculated, not measured: it uses a structure optimized by DFT (PBE+U) and λ = 1.5418 Å (Cu Kα).

Structure:
```
Ba2MgFeMoO6
1.0
-2.854 2.907 4.972
2.854 -2.907 4.972
2.854 2.907 -4.972
Ba Mg Fe Mo O
2 1 1 1 6
Direct
0.000 0.000 0.000
0.391 0.391 0.000
0.695 0.695 0.000
0.696 0.196 0.500
0.195 0.695 0.500
0.419 0.919 0.500
0.463 0.442 0.514
0.463 0.949 0.021
0.928 0.442 0.979
0.928 0.949 0.486
0.971 0.471 0.500
```

Most intense lines, 2θ = 10–80°, by angle:
2θ/deg  I_rel
28.33  100
30.76  38
31.06  24
31.20  32
31.35  36
36.15  23
44.39  24
44.49  45

# 4
Diffraction record for LiMn2P5O15. The X-ray powder pattern is calculated, not measured: it uses a structure optimized by DFT (PBE+U) and λ = 1.5418 Å (Cu Kα).

Structure:
```
LiMn2P5O15
1.0
5.174 0.000 0.000
0.000 13.186 0.000
-2.035 0.000 8.503
Li Mn P O
2 4 10 30
Direct
0.000 0.000 0.000
0.000 0.500 0.000
0.369 0.097 0.345
0.369 0.403 0.345
0.631 0.597 0.655
0.631 0.903 0.655
0.059 0.750 0.519
0.157 0.070 0.687
0.157 0.430 0.687
0.472 0.639 0.000
0.472 0.861 0.000
0.528 0.139 0.000
0.528 0.361 0.000
0.843 0.570 0.313
0.843 0.930 0.313
0.941 0.250 0.481
0.010 0.009 0.258
0.010 0.491 0.258
0.048 0.655 0.404
0.048 0.845 0.404
0.181 0.250 0.408
0.193 0.629 0.014
0.193 0.871 0.014
0.325 0.134 0.827
0.325 0.366 0.827
0.334 0.036 0.580
0.334 0.464 0.580
0.334 0.750 0.625
0.419 0.073 0.113
0.419 0.427 0.113
0.454 0.250 0.046
0.546 0.750 0.954
0.581 0.573 0.887
0.581 0.927 0.887
0.666 0.250 0.375
0.666 0.536 0.420
0.666 0.964 0.420
0.675 0.634 0.173
0.675 0.866 0.173
0.807 0.129 0.986
0.807 0.371 0.986
0.819 0.750 0.592
0.952 0.155 0.596
0.952 0.345 0.596
0.990 0.509 0.742
0.990 0.991 0.742
```

Most intense lines, 2θ = 10–80°, by angle:
2θ/deg  I_rel
18.28  45
23.53  38
24.96  100
26.93  67
30.44  69
31.59  90
32.47  30
42.07  39

# 5
Diffraction record for Al2Co2O7. The X-ray powder pattern is calculated, not measured: it uses a structure optimized by DFT (PBE+U) and λ = 1.5418 Å (Cu Kα).

Structure:
```
Al2Co2O7
1.0
0.000 4.619 4.619
4.619 0.000 4.619
4.619 4.619 0.000
Al Co O
4 4 14
Direct
0.000 0.000 0.000
0.000 0.000 0.500
0.000 0.500 0.000
0.500 0.000 0.000
0.000 0.500 0.500
0.500 0.000 0.500
0.500 0.500 0.000
0.500 0.500 0.500
0.125 0.125 0.125
0.158 0.158 0.592
0.158 0.592 0.158
0.158 0.592 0.592
0.408 0.408 0.842
0.408 0.842 0.408
0.408 0.842 0.842
0.592 0.158 0.158
0.592 0.158 0.592
0.592 0.592 0.158
0.842 0.408 0.408
0.842 0.408 0.842
0.842 0.842 0.408
0.875 0.875 0.875
```

Most intense lines, 2θ = 10–80°, by angle:
2θ/deg  I_rel
16.62  25
32.14  28
33.61  100
39.00  9
51.40  7
56.34  66
67.23  36
79.74  6

# 6
Diffraction record for NaCoBO3. The X-ray powder pattern is calculated, not measured: it uses a structure optimized by DFT (PBE+U) and λ = 1.5418 Å (Cu Kα).

Structure:
```
NaCoBO3
1.0
2.520 -4.438 0.000
2.520 4.438 0.000
-0.880 0.000 5.612
Na Co B O
2 2 2 6
Direct
0.164 0.836 0.750
0.836 0.164 0.250
0.500 0.500 0.000
0.500 0.500 0.500
0.168 0.832 0.250
0.832 0.168 0.750
0.133 0.312 0.699
0.312 0.133 0.199
0.324 0.676 0.250
0.676 0.324 0.750
0.688 0.867 0.801
0.867 0.688 0.301
```

Most intense lines, 2θ = 10–80°, by angle:
2θ/deg  I_rel
20.01  59
20.45  100
35.29  67
35.67  36
36.08  32
37.94  51
40.57  61
49.49  38

# 7
Diffraction record for CrP5O15. The X-ray powder pattern is calculated, not measured: it uses a structure optimized by DFT (PBE+U) and λ = 1.5418 Å (Cu Kα).

Structure:
```
CrP5O15
1.0
5.215 0.000 0.000
0.000 9.728 0.000
-4.465 0.000 12.332
Cr P O
2 10 30
Direct
0.000 0.003 0.000
0.000 0.997 0.500
0.001 0.017 0.750
0.001 0.983 0.250
0.421 0.177 0.915
0.421 0.823 0.415
0.463 0.470 0.853
0.463 0.530 0.353
0.513 0.468 0.636
0.513 0.532 0.136
0.578 0.174 0.582
0.578 0.826 0.082
0.036 0.061 0.156
0.036 0.939 0.656
0.238 0.486 0.060
0.238 0.514 0.560
0.261 0.118 0.796
0.261 0.882 0.296
0.269 0.411 0.335
0.269 0.589 0.835
0.280 0.148 0.560
0.280 0.852 0.060
0.292 0.131 0.996
0.292 0.869 0.496
0.353 0.338 0.897
0.353 0.662 0.397
0.487 0.404 0.745
0.487 0.596 0.245
0.632 0.336 0.595
0.632 0.664 0.095
0.701 0.411 0.152
0.701 0.589 0.652
0.705 0.126 0.501
0.705 0.874 0.001
0.721 0.155 0.941
0.721 0.845 0.441
0.736 0.479 0.427
0.736 0.521 0.927
0.748 0.123 0.703
0.748 0.877 0.203
0.961 0.057 0.344
0.961 0.943 0.844
```

Most intense lines, 2θ = 10–80°, by angle:
2θ/deg  I_rel
11.59  70
18.24  55
20.28  100
23.52  39
28.47  33
30.41  29
33.12  32
34.02  18